Starting from a structure optimized by DFT (GGA-PBE), the powder XRD pattern of Y3HgO was calculated for Cu Kα.
Kinematic intensities with the Lorentz-polarization factor, no thermal factor.

Largest 10 diffraction maxima, sorted by position, 10 to 90 degrees two-theta:
| (hkl) | Position (°2θ) | I/Imax |
| --- | --- | --- |
| 1 0 1 | 21.91 | 23 |
| 2 0 0 | 30.45 | 20 |
| 1 1 1 | 30.82 | 13 |
| 0 0 2 | 31.90 | 30 |
| 2 0 1 | 34.48 | 100 |
| 1 2 1 | 43.87 | 13 |
| 2 0 2 | 44.68 | 18 |
| 2 2 0 | 54.11 | 14 |
| 2 0 3 | 58.52 | 22 |
| 2 2 2 | 64.20 | 14 |

Structural model:
```
data_Y3HgO
_chemical_formula_sum 'Y6 Hg2 O2'
_space_group_name_H-M_alt 'P 1'
_space_group_IT_number 1
_space_group_name_Hall 'P 1'
_cell_length_a 6.780
_cell_length_b 6.780
_cell_length_c 5.611
_cell_angle_alpha 90.00
_cell_angle_beta 90.00
_cell_angle_gamma 120.00
loop_
_atom_site_label
_atom_site_type_symbol
_atom_site_fract_x
_atom_site_fract_y
_atom_site_fract_z
Y1 Y 0.113 0.333 0.250
Y2 Y 0.220 0.887 0.250
Y3 Y 0.333 0.220 0.750
Y4 Y 0.667 0.780 0.250
Y5 Y 0.780 0.113 0.750
Y6 Y 0.887 0.667 0.750
Hg1 Hg 0.333 0.667 0.750
Hg2 Hg 0.667 0.333 0.250
O1 O 0.000 0.000 0.000
O2 O 0.000 0.000 0.500
```